Record 1
For CsNaCuO2, a crystal structure in Alexandria, relaxed with PBE gives the simulated powder XRD pattern in this record (CuKα).
Lines closer than 0.1° are merged.

Crystal structure
```
CsNaCuO2
1.0
3.2161 -6.4028 0.0000
3.2161 6.4028 0.0000
0.0000 0.0000 5.0535
Cs Na Cu O
2 2 2 4
direct
0.2500 0.7500 0.7548
0.7500 0.2500 0.2452
0.2500 0.2500 0.0000
0.7500 0.7500 0.0000
0.0000 0.0000 0.5000
0.5000 0.5000 0.5000
0.0932 0.9068 0.2440
0.4068 0.5932 0.2440
0.5932 0.4068 0.7560
0.9068 0.0932 0.7560
```

Largest 6 diffraction maxima, sorted by position, 10 to 90 degrees two-theta:
2θ = 23.44°, I = 90
2θ = 27.74°, I = 54
2θ = 27.87°, I = 48
2θ = 30.74°, I = 100
2θ = 38.30°, I = 45
2θ = 47.94°, I = 28

Record 2
For CsNaCuSe2, a crystal structure in Alexandria, relaxed with PBE gives the simulated powder XRD pattern in this record (CuKα).
Lines closer than 0.1° are merged.

Crystal structure
```
CsNaCuSe2
1.0
3.5640 -7.5958 0.0000
3.5640 7.5958 0.0000
0.0000 0.0000 6.1060
Cs Na Cu Se
2 2 2 4
direct
0.2500 0.7500 0.7510
0.7500 0.2500 0.2490
0.2500 0.2500 0.0000
0.7500 0.7500 0.0000
0.0000 0.0000 0.5000
0.5000 0.5000 0.5000
0.1110 0.8890 0.2565
0.3890 0.6110 0.2565
0.6110 0.3890 0.7435
0.8890 0.1110 0.7435
```

Largest 6 diffraction maxima, sorted by position, 10 to 90 degrees two-theta:
2θ = 24.98°, I = 43
2θ = 26.06°, I = 100
2θ = 31.58°, I = 16
2θ = 35.32°, I = 21
2θ = 44.67°, I = 23
2θ = 49.96°, I = 16

Record 3
For Cs3Np3CuS8, a crystal structure in Alexandria, relaxed with PBE gives the simulated powder XRD pattern in this record (CuKα).
Lines closer than 0.1° are merged.

Crystal structure
```
Cs3Np3CuS8
1.0
6.7091 -4.1811 0.0000
6.7091 4.1811 0.0000
-4.0956 0.0000 8.0745
Cs Np Cu S
3 3 1 8
direct
0.0000 0.0000 0.0000
0.0000 0.5000 0.0000
0.5000 0.0000 0.0000
0.0000 0.5000 0.5000
0.5000 0.0000 0.5000
0.5000 0.5000 0.5000
0.0000 0.0000 0.5000
0.1920 0.1920 0.6462
0.2501 0.6866 0.6895
0.2718 0.2718 0.3173
0.3134 0.7499 0.3105
0.6866 0.2501 0.6895
0.7282 0.7282 0.6827
0.7499 0.3134 0.3105
0.8080 0.8080 0.3538
```

Largest 6 diffraction maxima, sorted by position, 10 to 90 degrees two-theta:
2θ = 10.96°, I = 61
2θ = 22.02°, I = 52
2θ = 26.00°, I = 60
2θ = 29.50°, I = 100
2θ = 29.87°, I = 44
2θ = 38.61°, I = 37

Record 4
For Cs2NpCu2Te4, a crystal structure in Alexandria, relaxed with PBE gives the simulated powder XRD pattern in this record (CuKα).
Lines closer than 0.1° are merged.

Crystal structure
```
Cs2NpCu2Te4
1.0
8.0904 -2.2300 0.0000
8.0904 2.2300 0.0000
-2.7520 0.0000 8.5347
Cs Np Cu Te
2 1 2 4
direct
0.1384 0.1384 0.0649
0.8616 0.8616 0.9351
0.0000 0.0000 0.5000
0.3265 0.3265 0.5172
0.6735 0.6735 0.4828
0.1972 0.1972 0.6544
0.4815 0.4815 0.7261
0.5185 0.5185 0.2739
0.8028 0.8028 0.3456
```

Largest 6 diffraction maxima, sorted by position, 10 to 90 degrees two-theta:
2θ = 10.36°, I = 43
2θ = 26.45°, I = 23
2θ = 28.22°, I = 100
2θ = 40.45°, I = 23
2θ = 45.00°, I = 21
2θ = 45.71°, I = 26

Record 5
For Cs3CuO2, a crystal structure in Alexandria, relaxed with PBE gives the simulated powder XRD pattern in this record (CuKα).
Lines closer than 0.1° are merged.

Crystal structure
```
Cs3CuO2
1.0
6.2733 0.0000 0.0000
0.0000 11.8668 0.0000
0.0000 0.0000 4.7361
Cs Cu O
6 2 4
direct
0.0000 0.0000 0.0000
0.0585 0.2716 0.5000
0.4415 0.7716 0.0000
0.5000 0.5000 0.5000
0.5585 0.2284 0.0000
0.9415 0.7284 0.5000
0.0000 0.5000 0.0000
0.5000 0.0000 0.5000
0.2052 0.3916 0.0000
0.2948 0.8916 0.5000
0.7052 0.1084 0.5000
0.7948 0.6084 0.0000
```

Largest 6 diffraction maxima, sorted by position, 10 to 90 degrees two-theta:
2θ = 27.99°, I = 100
2θ = 28.46°, I = 17
2θ = 30.12°, I = 17
2θ = 38.00°, I = 14
2θ = 41.92°, I = 13
2θ = 52.20°, I = 12

Record 6
For Cs3Cu2O4, a crystal structure in Alexandria, relaxed with PBE gives the simulated powder XRD pattern in this record (CuKα).
Lines closer than 0.1° are merged.

Crystal structure
```
Cs3Cu2O4
1.0
-2.3158 3.9675 6.8181
2.3158 -3.9675 6.8181
2.3158 3.9675 -6.8181
Cs Cu O
3 2 4
direct
0.0000 0.0000 0.0000
0.2925 0.7925 0.5000
0.7075 0.2075 0.5000
0.3024 0.5000 0.8024
0.6976 0.5000 0.1976
0.1478 0.3752 0.7725
0.3973 0.6248 0.7725
0.6027 0.3752 0.2275
0.8522 0.6248 0.2275
```

Largest 6 diffraction maxima, sorted by position, 10 to 90 degrees two-theta:
2θ = 22.54°, I = 34
2θ = 25.82°, I = 100
2θ = 30.38°, I = 52
2θ = 38.89°, I = 18
2θ = 39.41°, I = 17
2θ = 44.82°, I = 28

Record 7
For CsCu2O, a crystal structure in Alexandria, relaxed with PBE gives the simulated powder XRD pattern in this record (CuKα).
Lines closer than 0.1° are merged.

Crystal structure
```
CsCu2O
1.0
6.3889 0.0000 0.0000
0.0000 6.3889 0.0000
0.0000 0.0000 9.0181
Cs Cu O
4 8 4
direct
0.0000 0.2500 0.3750
0.0000 0.7500 0.6250
0.5000 0.2500 0.1250
0.5000 0.7500 0.8750
0.0000 0.0000 0.0000
0.0000 0.5000 0.0000
0.2500 0.2500 0.7500
0.2500 0.7500 0.2500
0.5000 0.0000 0.5000
0.5000 0.5000 0.5000
0.7500 0.2500 0.7500
0.7500 0.7500 0.2500
0.0000 0.2500 0.8750
0.0000 0.7500 0.1250
0.5000 0.2500 0.6250
0.5000 0.7500 0.3750
```

Largest 6 diffraction maxima, sorted by position, 10 to 90 degrees two-theta:
2θ = 27.95°, I = 75
2θ = 32.90°, I = 100
2θ = 34.41°, I = 26
2θ = 49.45°, I = 29
2θ = 52.67°, I = 35
2θ = 57.76°, I = 34

Record 8
For Cs2Cu2O3, a crystal structure in Alexandria, relaxed with PBE gives the simulated powder XRD pattern in this record (CuKα).
Lines closer than 0.1° are merged.

Crystal structure
```
Cs2Cu2O3
1.0
12.0239 0.0000 0.0000
0.0000 4.0621 0.0000
-3.2005 0.0000 5.9089
Cs Cu O
4 4 6
direct
0.0915 0.0000 0.3396
0.4085 0.5000 0.6604
0.5915 0.5000 0.3396
0.9085 0.0000 0.6604
0.1602 0.5000 0.9983
0.3398 0.0000 0.0017
0.6602 0.0000 0.9983
0.8398 0.5000 0.0017
0.0000 0.5000 0.0000
0.1811 0.0000 0.9980
0.3189 0.5000 0.0020
0.5000 0.0000 0.0000
0.6811 0.5000 0.9980
0.8189 0.0000 0.0020
```

Largest 6 diffraction maxima, sorted by position, 10 to 90 degrees two-theta:
2θ = 23.46°, I = 38
2θ = 26.65°, I = 75
2θ = 27.48°, I = 66
2θ = 30.10°, I = 100
2θ = 31.51°, I = 96
2θ = 35.17°, I = 58